Starting from a DFT-relaxed cell (GGA+U, Alexandria), the powder XRD pattern of Na5Mn7O16 was calculated for copper Kα.
No peak broadening, texture or thermal motion is included.

Crystal structure
```
Na5Mn7O16
1.0
5.325 -2.977 0.000
5.325 2.977 0.000
-1.450 0.000 10.606
Na Mn O
5 7 16
Cartesian
0.000 0.000 0.000 Na
3.154 0.000 0.465 Na
2.816 0.000 4.547 Na
6.384 0.000 6.059 Na
6.046 0.000 10.141 Na
-0.725 0.000 5.303 Mn
3.663 1.459 7.760 Mn
1.070 0.000 7.786 Mn
5.536 1.459 2.846 Mn
3.663 -1.459 7.760 Mn
8.130 0.000 2.819 Mn
5.536 -1.459 2.846 Mn
-0.774 0.000 8.689 O
2.021 1.399 8.766 O
0.759 0.000 4.040 O
3.906 1.723 3.997 O
5.294 1.723 6.608 O
2.858 0.000 6.750 O
7.178 1.399 1.839 O
4.799 0.000 1.906 O
4.401 0.000 8.699 O
2.021 -1.399 8.766 O
6.341 0.000 3.855 O
3.906 -1.723 3.997 O
5.294 -1.723 6.608 O
8.441 0.000 6.565 O
7.178 -1.399 1.839 O
9.974 0.000 1.916 O
```

The 12 most intense peaks (2θ = 5–70°), in order of falling intensity:
d/Å	I/Imax
5.298	100
10.606	57
2.269	42
2.027	40
4.786	37
2.595	34
2.481	26
2.648	25
2.507	24
2.772	23
2.834	21
1.508	21